No. 1
# CrAgI4
Calculated powder diffractogram, CuKα. Input: a PBE-relaxed structure.
No peak broadening, texture or thermal motion is included.

Crystal structure
```
6
Lattice="7.0126 -2.0426 0.0000 7.0126 2.0426 0.0000 -0.8709 0.0000 7.5816" Properties=species:S:1:pos:R:3 pbc="T T T"
Cr 0.0000 0.0000 0.0000
Ag 6.5772 0.0000 3.7908
I 1.2525 0.0000 2.4480
I 5.3083 0.0000 0.8125
I 7.8461 0.0000 6.7691
I 11.9019 0.0000 5.1336
```

The 10 most intense peaks (2θ from 10° to 90°), sorted by position:
d_spacing	2θ/deg	I/Imax
6.967	12.71	58
3.502	25.44	16
3.483	25.57	17
3.437	25.92	34
3.181	28.05	49
2.921	30.61	100
2.156	41.91	30
2.147	42.08	32
2.091	43.27	26
2.043	44.35	18


No. 2
# CrAg2I6
Calculated powder diffractogram, CuKα. Input: a PBE-relaxed structure.
No peak broadening, texture or thermal motion is included.

Crystal structure
```
18
Lattice="7.3404 -6.9446 0.0000 7.3404 6.9446 0.0000 -0.8992 0.0000 6.9421" Properties=species:S:1:pos:R:3 pbc="T T T"
Cr 6.6660 5.9120 5.2066
Cr 7.1156 -5.9120 1.7355
Ag 5.4305 1.4292 6.0488
Ag 7.9015 1.4292 4.3644
Ag 5.8800 -1.4292 2.5777
Ag 8.3511 -1.4292 0.8934
I 0.9870 0.9085 4.1807
I 4.7795 4.1240 6.0417
I 1.4366 -0.9085 0.7096
I 5.2067 1.2115 3.1477
I 8.5525 4.1240 4.3715
I 4.7571 -1.2115 6.6187
I 9.0244 1.2115 0.3234
I 5.2290 -4.1240 2.5706
I 8.5749 -1.2115 3.7945
I 12.3450 0.9085 6.2325
I 9.0021 -4.1240 0.9004
I 12.7946 -0.9085 2.7614
```

The 10 most intense peaks (2θ from 10° to 90°), sorted by position:
d_spacing	2θ/deg	I/Imax
7.280	12.16	75
5.489	16.15	34
3.660	24.32	44
3.640	24.46	100
3.302	27.00	88
3.128	28.54	80
2.988	29.91	76
2.729	32.82	30
2.431	36.98	41
2.247	40.13	29


No. 3
# CrInAgPd2
Calculated powder diffractogram, CuKα. Input: a PBE-relaxed structure.
No peak broadening, texture or thermal motion is included.

Crystal structure
```
5
Lattice="4.9413 0.0000 0.0000 0.0000 4.9413 0.0000 0.0000 0.0000 5.0933" Properties=species:S:1:pos:R:3 pbc="T T T"
Cr 0.0000 0.0000 0.0000
In 0.0000 0.0000 2.5467
Ag 2.4706 2.4706 0.0000
Pd 0.0000 2.4706 2.5467
Pd 2.4706 0.0000 2.5467
```

The 10 most intense peaks (2θ from 10° to 90°), sorted by position:
d_spacing	2θ/deg	I/Imax
5.093	17.41	35
3.547	25.11	65
2.881	31.04	88
2.547	35.24	55
2.471	36.36	100
2.027	44.70	27
1.773	51.54	71
1.747	52.37	34
1.494	62.14	22
1.441	64.71	35


No. 4
# Cr4InAgSe8
Calculated powder diffractogram, CuKα. Input: a PBE-relaxed structure.
No peak broadening, texture or thermal motion is included.

Crystal structure
```
14
Lattice="0.0000 5.4175 5.4175 5.4175 0.0000 5.4175 5.4175 5.4175 0.0000" Properties=species:S:1:pos:R:3 pbc="T T T"
Cr 1.3100 1.3100 1.3100
Cr 4.1074 4.1074 1.3100
Cr 4.1074 1.3100 4.1074
Cr 1.3100 4.1074 4.1074
In 5.4175 5.4175 5.4175
Ag 8.1262 8.1262 8.1262
Se 9.6372 6.6153 6.6153
Se 3.8959 3.8959 3.8959
Se 6.9391 6.9391 3.8959
Se 6.9391 3.8959 6.9391
Se 6.6153 9.6372 6.6153
Se 6.6153 6.6153 9.6372
Se 9.6372 9.6372 9.6372
Se 3.8959 6.9391 6.9391
```

The 10 most intense peaks (2θ from 10° to 90°), sorted by position:
d_spacing	2θ/deg	I/Imax
3.831	23.22	46
3.267	27.30	55
3.128	28.54	43
2.709	33.07	48
2.486	36.14	17
2.212	40.80	14
2.085	43.40	58
1.915	47.47	100
1.136	85.49	14
1.106	88.40	23


No. 5
# Cr2AgIr
Calculated powder diffractogram, CuKα. Input: a PBE-relaxed structure.
No peak broadening, texture or thermal motion is included.

Crystal structure
```
4
Lattice="1.3490 0.7789 8.9394 -1.3490 0.7789 8.9394 0.0000 -1.5577 8.9394" Properties=species:S:1:pos:R:3 pbc="T T T"
Cr 0.0000 0.0000 6.5592
Cr 0.0000 0.0000 20.2589
Ag 0.0000 0.0000 0.0000
Ir 0.0000 0.0000 13.4091
```

The 10 most intense peaks (2θ from 10° to 90°), sorted by position:
d_spacing	2θ/deg	I/Imax
4.470	19.86	47
2.302	39.13	26
2.235	40.36	33
2.206	40.90	100
1.917	47.43	63
1.762	51.90	13
1.362	68.95	19
1.349	69.71	20
1.163	83.02	14
1.155	83.75	23